Record 1
Computed powder XRD pattern of Sc8N3O4 for CuKα, from a PBE-relaxed structure.
Intensities are scaled so that the largest is 100.

Cell and atoms:
a = 6.7088 Å, b = 6.7088 Å, c = 6.7088 Å
α = 56.70°, β = 56.70°, γ = 56.70°
Fractional coordinates of all 15 atoms:
Sc: 0.2357 0.2357 0.2357
Sc: 0.2441 0.7419 0.7419
Sc: 0.2581 0.2581 0.7559
Sc: 0.2581 0.7559 0.2581
Sc: 0.7419 0.2441 0.7419
Sc: 0.7419 0.7419 0.2441
Sc: 0.7559 0.2581 0.2581
Sc: 0.7643 0.7643 0.7643
N: 0.0000 0.0000 0.5000
N: 0.0000 0.5000 0.0000
N: 0.5000 0.0000 0.0000
O: 0.0000 0.0000 0.0000
O: 0.3540 0.3540 0.3540
O: 0.5000 0.5000 0.5000
O: 0.6460 0.6460 0.6460

Largest 10 diffraction maxima, by angle, 15° ≤ 2θ ≤ 90°:
2θ (°), intensity
15.8, 13
31.9, 22
34.2, 81
39.0, 100
50.3, 12
54.9, 34
57.9, 37
67.6, 14
69.0, 9
72.0, 14

Record 2
Computed powder XRD pattern of AcTmH6Rh2 for CuKα, from a PBE-relaxed structure.
Intensities are scaled so that the largest is 100.

Cell and atoms:
a = 6.4582 Å, b = 6.4582 Å, c = 6.4582 Å
α = 43.39°, β = 43.39°, γ = 43.39°
Fractional coordinates of all 10 atoms:
Ac: 0.0000 0.0000 0.0000
Tm: 0.5000 0.5000 0.5000
H: 0.0654 0.5657 0.5657
H: 0.4343 0.4343 0.9346
H: 0.4343 0.9346 0.4343
H: 0.5657 0.0654 0.5657
H: 0.5657 0.5657 0.0654
H: 0.9346 0.4343 0.4343
Rh: 0.2123 0.2123 0.2123
Rh: 0.7877 0.7877 0.7877

Largest 10 diffraction maxima, by angle, 15° ≤ 2θ ≤ 90°:
2θ (°), intensity
23.8, 25
29.7, 100
30.6, 14
33.5, 17
37.7, 72
48.7, 26
49.3, 25
57.1, 18
63.2, 24
68.0, 13

Record 3
Computed powder XRD pattern of LaTmTh2Se4 for CuKα, from a PBE-relaxed structure.
Intensities are scaled so that the largest is 100.

Cell and atoms:
a = 7.1271 Å, b = 4.1394 Å, c = 7.4316 Å
α = 90.00°, β = 108.78°, γ = 90.00°
Fractional coordinates of all 8 atoms:
La: 0.0000 0.0000 0.0000
Tm: 0.5000 0.5000 0.0000
Th: 0.0000 0.5000 0.5000
Th: 0.5000 0.0000 0.5000
Se: 0.2598 0.5000 0.2442
Se: 0.2653 0.0000 0.7630
Se: 0.7347 0.0000 0.2370
Se: 0.7402 0.5000 0.7558

Largest 10 diffraction maxima, by angle, 15° ≤ 2θ ≤ 90°:
2θ (°), intensity
25.3, 11
26.3, 15
30.2, 100
42.5, 26
42.7, 13
43.7, 12
43.9, 24
54.1, 13
62.8, 13
70.3, 13

Record 4
Computed powder XRD pattern of TlPdSe2O6 for CuKα, from a PBE-relaxed structure.
Intensities are scaled so that the largest is 100.

Cell and atoms:
a = 7.3494 Å, b = 7.3494 Å, c = 7.3494 Å
α = 43.25°, β = 43.25°, γ = 43.25°
Fractional coordinates of all 10 atoms:
Tl: 0.0000 0.0000 0.0000
Pd: 0.5000 0.5000 0.5000
Se: 0.2590 0.2590 0.2590
Se: 0.7410 0.7410 0.7410
O: 0.0951 0.7153 0.4961
O: 0.2847 0.5039 0.9049
O: 0.4961 0.0951 0.7153
O: 0.5039 0.9049 0.2847
O: 0.7153 0.4961 0.0951
O: 0.9049 0.2847 0.5039

Largest 10 diffraction maxima, by angle, 15° ≤ 2θ ≤ 90°:
2θ (°), intensity
20.9, 14
26.1, 100
33.1, 41
41.0, 26
42.6, 21
53.6, 13
55.0, 24
59.1, 12
64.5, 14
65.9, 12